No. 1
# Mo
Simulated powder diffractogram, copper Kα. Input: a crystal structure in the Materials Project, relaxed with PBE.
Peak positions follow from Bragg's law for the DFT cell and can differ from measured ones.

Crystal structure
Cell: 5.039 5.193 10.069 Å, 90.00 97.75 90.00°
Space group P2_1 (No. 4)
Unique sites:
1 Mo 0.021 0.000 0.438 x2
2 Mo 0.072 0.490 0.313 x2
3 Mo 0.133 0.975 0.192 x2
4 Mo 0.183 0.434 0.064 x2
5 Mo 0.317 0.838 0.936 x2
6 Mo 0.364 0.294 0.809 x2
7 Mo 0.425 0.767 0.688 x2
8 Mo 0.478 0.248 0.563 x2

Main lines, low angle first (2θ from 10° to 90°):
2θ (°)  Rel. int.  h k l
34.90  26  1 1 -3
38.33  79  2 0 1
39.10  74  1 2 0
40.10  100  0 1 4
40.74  40  1 2 1
42.01  32  1 1 -4
45.86  60  2 1 -3
46.25  19  1 1 4
66.28  20  2 1 5
68.69  18  3 2 1

---

No. 2
# Mo
Simulated powder diffractogram, copper Kα. Input: a crystal structure in the Materials Project, relaxed with PBE.
Peak positions follow from Bragg's law for the DFT cell and can differ from measured ones.

Crystal structure
Cell: 7.884 2.631 13.658 Å, 90.00 101.21 90.00°
Space group P2/c (No. 13)
Unique sites:
1 Mo 0.057 0.180 0.418 x4
2 Mo 0.175 0.334 0.752 x4
3 Mo 0.282 0.439 0.088 x4
4 Mo 0.393 0.112 0.916 x4

Main lines, low angle first (2θ from 10° to 90°):
2θ (°)  Rel. int.  h k l
11.44  10  1 0 0
13.22  9  0 0 2
39.38  14  1 1 2
39.79  100  3 0 -4
40.38  58  0 0 6
41.32  15  2 1 -1
41.52  13  2 1 0
42.66  12  1 1 3
71.83  10  6 0 -2
72.99  10  3 0 -10

---

No. 3
# Mo
Simulated powder diffractogram, copper Kα. Input: a crystal structure in the Materials Project, relaxed with PBE.
Peak positions follow from Bragg's law for the DFT cell and can differ from measured ones.

Crystal structure
Cell: 3.168 3.168 3.168 Å, 90.00 90.00 90.00°
Space group Im-3m (No. 229)
Unique sites:
1 Mo 0.000 0.000 0.000 x2

Main lines, low angle first (2θ from 10° to 90°):
2θ (°)  Rel. int.  h k l
40.26  100  1 1 0
58.25  16  2 0 0
73.19  33  2 1 1
87.00  11  2 2 0

---

No. 4
# Mo
Simulated powder diffractogram, copper Kα. Input: a crystal structure in the Materials Project, relaxed with PBE.
Peak positions follow from Bragg's law for the DFT cell and can differ from measured ones.

Crystal structure
Cell: 2.7681 2.7681 4.8754 Å, 90.00 90.00 120.00°
Space group P6_3/mmc (No. 194)
Unique sites:
1 Mo 0.3333 0.6667 0.2500 x2

Main lines, low angle first (2θ from 10° to 90°):
2θ (°)  Rel. int.  h k l
36.87  32  0 0 2
37.52  23  1 0 0
42.00  100  1 0 1
53.62  16  1 0 2
67.70  16  1 1 0
69.93  21  1 0 3
78.47  3  0 0 4
79.66  20  1 1 2
80.06  2  2 0 0
82.96  14  2 0 1

---

No. 5
# Mo
Simulated powder diffractogram, copper Kα. Input: a crystal structure in the Materials Project, relaxed with PBE.
Peak positions follow from Bragg's law for the DFT cell and can differ from measured ones.

Crystal structure
Cell: 2.7901 2.7901 2.5290 Å, 90.00 90.00 120.00°
Space group P6/mmm (No. 191)
Unique sites:
1 Mo 0.0000 0.0000 0.0000 x1

Main lines, low angle first (2θ from 10° to 90°):
2θ (°)  Rel. int.  h k l
35.50  38  0 0 1
37.21  100  1 0 0
52.37  72  1 0 1
67.09  17  1 1 0
75.13  4  0 0 2
78.26  22  1 1 1
79.30  11  2 0 0
86.96  17  1 0 2

---

No. 6
# MoN
Simulated powder diffractogram, copper Kα. Input: a crystal structure in the Materials Project, relaxed with PBE.
Peak positions follow from Bragg's law for the DFT cell and can differ from measured ones.

Crystal structure
Cell: 2.8858 2.8858 2.8561 Å, 90.00 90.00 120.00°
Space group P-6m2 (No. 187)
Unique sites:
1 Mo 0.0000 0.0000 0.0000 x1
2 N 0.6667 0.3333 0.5000 x1

Main lines, low angle first (2θ from 10° to 90°):
2θ (°)  Rel. int.  h k l
31.32  38  0 0 1
35.93  93  1 0 0
48.40  100  1 0 1
64.59  22  1 1 0
65.35  7  0 0 2
73.54  20  1 1 1
76.18  10  2 0 0
76.89  20  1 0 2
84.66  19  2 0 1

---

No. 7
# MoN
Simulated powder diffractogram, copper Kα. Input: a crystal structure in the Materials Project, relaxed with PBE.
Peak positions follow from Bragg's law for the DFT cell and can differ from measured ones.

Crystal structure
Cell: 2.9751 2.9751 6.2555 Å, 90.00 90.00 120.00°
Space group P6_3mc (No. 186)
Unique sites:
1 Mo 0.3333 0.6667 0.0000 x2
2 N 0.3333 0.6667 0.6808 x2

Main lines, low angle first (2θ from 10° to 90°):
2θ (°)  Rel. int.  h k l
28.54  44  0 0 2
34.82  30  1 0 0
37.76  100  1 0 1
45.62  18  1 0 2
56.80  40  1 0 3
62.43  20  1 1 0
70.04  20  1 1 2
75.32  13  2 0 1
86.47  9  1 0 5
89.40  11  2 0 3

---

No. 8
# MoN
Simulated powder diffractogram, copper Kα. Input: a crystal structure in the Materials Project, relaxed with PBE.
Peak positions follow from Bragg's law for the DFT cell and can differ from measured ones.

Crystal structure
Cell: 4.673 4.673 4.673 Å, 90.00 90.00 90.00°
Space group F-43m (No. 216)
Unique sites:
1 Mo 0.000 0.000 0.000 x4
2 N 0.250 0.250 0.250 x4

Main lines, low angle first (2θ from 10° to 90°):
2θ (°)  Rel. int.  h k l
33.21  100  1 1 1
38.53  36  2 0 0
55.63  40  2 2 0
66.35  38  3 1 1
69.71  9  2 2 2
82.59  6  4 0 0

---

No. 9
# MoN2
Simulated powder diffractogram, copper Kα. Input: a crystal structure in the Materials Project, relaxed with PBE.
Peak positions follow from Bragg's law for the DFT cell and can differ from measured ones.

Crystal structure
Cell: 4.348 4.348 2.767 Å, 90.00 90.00 90.00°
Space group P4/mbm (No. 127)
Unique sites:
1 Mo 0.000 0.000 0.000 x2
2 N 0.112 0.388 0.500 x4

Main lines, low angle first (2θ from 10° to 90°):
2θ (°)  Rel. int.  h k l
29.04  84  1 1 0
32.35  23  0 0 1
41.54  49  2 0 0
44.02  100  1 1 1
53.61  38  2 0 1
60.20  15  2 2 0
68.21  23  3 1 0
70.01  18  2 2 1
77.52  24  3 1 1
82.66  13  2 0 2

---

No. 10
# MoN
Simulated powder diffractogram, copper Kα. Input: a crystal structure in the Materials Project, relaxed with PBE.
Peak positions follow from Bragg's law for the DFT cell and can differ from measured ones.

Crystal structure
Cell: 3.132 6.344 8.050 Å, 90.00 90.00 90.00°
Space group Imma (No. 74)
Unique sites:
1 Mo 0.000 0.250 0.117 x4
2 N 0.000 0.000 0.000 x4

Main lines, low angle first (2θ from 10° to 90°):
2θ (°)  Rel. int.  h k l
17.80  100  0 1 1
28.13  26  0 2 0
30.63  46  1 0 1
36.35  24  0 1 3
39.11  58  1 1 2
42.07  18  1 2 1
44.29  9  0 3 1
53.44  11  1 2 3
53.96  13  0 2 4
57.34  18  1 3 2

---

No. 11
# MoN
Simulated powder diffractogram, copper Kα. Input: a crystal structure in the Materials Project, relaxed with PBE.
Peak positions follow from Bragg's law for the DFT cell and can differ from measured ones.

Crystal structure
Cell: 2.8711 2.8711 11.4637 Å, 90.00 90.00 120.00°
Space group P6_3/mmc (No. 194)
Unique sites:
1 Mo 0.0000 0.0000 0.0000 x2
2 Mo 0.0000 0.0000 0.2500 x2
3 N 0.3333 0.6667 0.1293 x4

Main lines, low angle first (2θ from 10° to 90°):
2θ (°)  Rel. int.  h k l
31.21  39  0 0 4
36.12  92  1 0 0
36.99  1  1 0 1
48.47  100  1 0 4
64.96  22  1 1 0
65.09  7  0 0 8
73.83  20  1 1 4
76.65  10  2 0 0
76.77  20  1 0 8
85.05  19  2 0 4

---

No. 12
# MoN
Simulated powder diffractogram, copper Kα. Input: a crystal structure in the Materials Project, relaxed with PBE.
Peak positions follow from Bragg's law for the DFT cell and can differ from measured ones.

Crystal structure
Cell: 7.771 9.322 5.110 Å, 90.00 101.02 90.00°
Space group C2/m (No. 12)
Unique sites:
1 Mo 0.016 0.000 0.260 x4
2 Mo 0.125 0.500 0.768 x4
3 Mo 0.212 0.313 0.273 x8
4 N 0.000 0.186 0.500 x4
5 N 0.000 0.369 0.000 x4
6 N 0.171 0.129 0.050 x8

Main lines, low angle first (2θ from 10° to 90°):
2θ (°)  Rel. int.  h k l
30.28  100  2 2 0
32.85  44  2 2 -1
34.81  94  1 3 -1
35.81  81  0 0 2
36.64  50  3 1 0
37.12  86  1 3 1
43.78  43  2 2 -2
43.98  29  3 1 1
46.79  35  3 1 -2
61.69  29  3 5 0

---

No. 13
# MoN
Simulated powder diffractogram, copper Kα. Input: a crystal structure in the Materials Project, relaxed with PBE.
Peak positions follow from Bragg's law for the DFT cell and can differ from measured ones.

Crystal structure
Cell: 4.033 3.971 6.136 Å, 90.00 103.60 90.00°
Space group C2/m (No. 12)
Unique sites:
1 Mo 0.147 0.000 0.203 x4
2 N 0.187 0.500 0.303 x4

Main lines, low angle first (2θ from 10° to 90°):
2θ (°)  Rel. int.  h k l
14.85  29  0 0 1
29.97  84  0 0 2
32.09  47  1 1 0
33.10  100  1 1 -1
45.18  27  2 0 -1
45.68  49  0 2 0
48.26  49  1 1 2
51.81  35  1 1 -3
52.46  20  2 0 1
55.61  26  0 2 2

---

No. 14
# MoN
Simulated powder diffractogram, copper Kα. Input: a crystal structure in the Materials Project, relaxed with PBE.
Peak positions follow from Bragg's law for the DFT cell and can differ from measured ones.

Crystal structure
Cell: 5.7723 5.7723 5.6781 Å, 90.00 90.00 120.00°
Space group P6_3mc (No. 186)
Unique sites:
1 Mo 0.0000 0.0000 0.0000 x2
2 Mo 0.0245 0.5122 0.4895 x6
3 N 0.1663 0.3326 0.2342 x6
4 N 0.3333 0.6667 0.7640 x2

Main lines, low angle first (2θ from 10° to 90°):
2θ (°)  Rel. int.  h k l
31.51  39  0 0 2
35.93  94  2 0 0
48.53  100  2 0 2
50.94  4  2 1 1
64.58  21  2 2 0
65.79  7  0 0 4
73.64  19  2 2 2
76.17  11  4 0 0
77.30  20  2 0 4
84.75  18  4 0 2

---

No. 15
# MoN
Simulated powder diffractogram, copper Kα. Input: a crystal structure in the Materials Project, relaxed with PBE.
Peak positions follow from Bragg's law for the DFT cell and can differ from measured ones.

Crystal structure
Cell: 2.8705 2.8705 5.7067 Å, 90.00 90.00 120.00°
Space group P6_3/mmc (No. 194)
Unique sites:
1 Mo 0.0000 0.0000 0.0000 x2
2 N 0.3333 0.6667 0.2500 x2

Main lines, low angle first (2θ from 10° to 90°):
2θ (°)  Rel. int.  h k l
31.35  39  0 0 2
36.13  92  1 0 0
39.54  2  1 0 1
48.57  100  1 0 2
64.98  22  1 1 0
65.42  7  0 0 4
73.92  20  1 1 2
76.67  10  2 0 0
77.08  20  1 0 4
85.14  19  2 0 2